1.
This entry pairs a crystal structure of InPt15 with its computed powder XRD pattern. Radiation: λ = 1.5418 Å (Cu Kα). Structure: a PBE-relaxed structure.

Structure:
Lattice parameters (Å, degrees): 4.822 36.626 4.823 90.00 109.66 90.00
Space group P2/c (No. 13)
Symmetry-distinct sites (fractional):
In (0.000, 0.205, 0.250) x2
Pt (0.000, 0.246, 0.750) x2
Pt (0.000, 0.287, 0.250) x2
Pt (0.000, 0.326, 0.750) x2
Pt (0.000, 0.365, 0.250) x2
Pt (0.000, 0.403, 0.750) x2
Pt (0.000, 0.442, 0.250) x2
Pt (0.000, 0.481, 0.750) x2
Pt (0.500, 0.212, 0.750) x2
Pt (0.500, 0.246, 0.250) x2
Pt (0.500, 0.287, 0.750) x2
Pt (0.500, 0.326, 0.250) x2
Pt (0.500, 0.365, 0.750) x2
Pt (0.500, 0.403, 0.250) x2
Pt (0.500, 0.442, 0.750) x2
Pt (0.500, 0.481, 0.250) x2

Top 6 peaks for 2θ from 10° to 90°, in order of rising 2θ:
(1 13 -1), 2θ 39.31, d 2.292, I = 66.9
(2 0 0), 2θ 39.72, d 2.269, I = 100.0
(1 13 1), 2θ 45.88, d 1.978, I = 43.4
(2 0 -2), 2θ 46.07, d 1.970, I = 33.0
(3 13 -1), 2θ 67.03, d 1.396, I = 28.4
(4 0 -2), 2θ 80.94, d 1.188, I = 30.1

2.
This entry pairs a crystal structure of LiOsNO with its computed powder XRD pattern. Radiation: λ = 1.5418 Å (Cu Kα). Structure: a PBE-relaxed structure.

Structure:
Lattice parameters (Å, degrees): 2.929 2.929 4.136 90.00 90.00 90.00
Space group P4/mmm (No. 123)
Symmetry-distinct sites (fractional):
Li (0.000, 0.000, 0.000) x1
Os (0.500, 0.500, 0.500) x1
N (0.000, 0.000, 0.500) x1
O (0.500, 0.500, 0.000) x1

Top 6 peaks for 2θ from 10° to 90°, in order of rising 2θ:
(0 0 1), 2θ 21.49, d 4.136, I = 100.0
(1 0 0), 2θ 30.52, d 2.929, I = 90.2
(1 0 1), 2θ 37.63, d 2.390, I = 80.0
(1 1 0), 2θ 43.73, d 2.070, I = 72.5
(1 1 1), 2θ 49.20, d 1.852, I = 45.7
(2 0 0), 2θ 63.57, d 1.464, I = 46.2

3.
This entry pairs a crystal structure of Tb3S2NO with its computed powder XRD pattern. Radiation: λ = 1.5418 Å (Cu Kα). Structure: a PBE-relaxed structure.

Structure:
Lattice parameters (Å, degrees): 15.177 3.836 9.550 90.00 99.33 90.00
Space group C2/m (No. 12)
Symmetry-distinct sites (fractional):
Tb (0.051, 0.000, 0.265) x4
Tb (0.112, 0.500, 0.945) x4
Tb (0.198, 0.000, 0.671) x4
S (0.134, 0.500, 0.471) x4
S (0.214, 0.000, 0.152) x4
N (0.096, 0.000, 0.806) x4
O (0.039, 0.500, 0.140) x4

Top 6 peaks for 2θ from 10° to 90°, in order of rising 2θ:
(4 0 1), 2θ 27.01, d 3.301, I = 36.8
(4 0 -2), 2θ 27.93, d 3.194, I = 44.8
(3 1 -1), 2θ 29.97, d 2.982, I = 38.4
(1 1 2), 2θ 31.25, d 2.862, I = 100.0
(5 1 0), 2θ 38.11, d 2.361, I = 33.9
(3 1 -4), 2θ 46.36, d 1.959, I = 32.7